Theoretical X-ray diffraction stick pattern
Compound: Ti2Be3Ga
Radiation: Cu Kα (λ = 1.5418 Å)
Structure: a crystal structure in the Materials Project, relaxed with PBE
No peak broadening, texture or thermal motion is included.

Structural model:
```
6
Lattice="2.3287 1.3445 3.8731 -2.3287 1.3445 3.8731 0.0000 -2.6889 3.8731" Properties=species:S:1:pos:R:3 pbc="T T T"
Ti 0.0000 0.0000 1.4497
Ti 0.0000 0.0000 10.1696
Be -1.1643 -0.6722 3.8731
Be -1.1643 0.6722 7.7462
Be 0.0000 1.3445 3.8731
Ga 0.0000 0.0000 5.8096
```

Principal peaks in the range 2θ = 10–80°, in order of rising 2θ:
22.96°, intensity 73
26.91°, intensity 45
38.67°, intensity 100
45.02°, intensity 52
45.45°, intensity 100
74.43°, intensity 21

Theoretical X-ray diffraction stick pattern
Compound: Hf6Co16Si7
Radiation: Cu Kα (λ = 1.5418 Å)
Structure: a crystal structure in the Materials Project, relaxed with PBE
No peak broadening, texture or thermal motion is included.

Structural model:
```
29
Lattice="0.0000 5.6785 5.6785 5.6785 0.0000 5.6785 5.6785 5.6785 0.0000" Properties=species:S:1:pos:R:3 pbc="T T T"
Hf 5.6785 5.6785 2.3299
Hf 5.6785 2.3299 5.6785
Hf 9.0270 5.6785 5.6785
Hf 2.3299 5.6785 5.6785
Hf 5.6785 9.0270 5.6785
Hf 5.6785 5.6785 9.0270
Co 7.0350 4.3219 4.3219
Co 1.9359 1.9359 1.9359
Co 3.7425 3.7425 1.9359
Co 3.7425 1.9359 3.7425
Co 4.3219 4.3219 4.3219
Co 7.0350 7.0350 4.3219
Co 7.0350 4.3219 7.0350
Co 1.9359 3.7425 3.7425
Co 9.4210 7.6144 7.6144
Co 4.3219 7.0350 4.3219
Co 4.3219 4.3219 7.0350
Co 7.0350 7.0350 7.0350
Co 7.6144 9.4210 7.6144
Co 7.6144 7.6144 9.4210
Co 9.4210 9.4210 9.4210
Co 4.3219 7.0350 7.0350
Si 2.8392 2.8392 0.0000
Si 2.8392 0.0000 2.8392
Si 5.6785 2.8392 2.8392
Si 0.0000 2.8392 2.8392
Si 2.8392 5.6785 2.8392
Si 2.8392 2.8392 5.6785
Si 5.6785 5.6785 5.6785
```

Principal peaks in the range 2θ = 10–80°, in order of rising 2θ:
27.20°, intensity 53
34.42°, intensity 20
38.85°, intensity 31
41.31°, intensity 100
45.16°, intensity 70
70.34°, intensity 24

Theoretical X-ray diffraction stick pattern
Compound: RbVN2
Radiation: Cu Kα (λ = 1.5418 Å)
Structure: a crystal structure in the Materials Project, relaxed with PBE
No peak broadening, texture or thermal motion is included.

Structural model:
```
8
Lattice="-2.9206 2.9206 4.1537 2.9206 -2.9206 4.1537 2.9206 2.9206 -4.1537" Properties=species:S:1:pos:R:3 pbc="T T T"
Rb 0.0000 0.0000 0.0000
Rb 0.0000 2.9206 2.0768
V 2.9206 0.0000 2.0768
V 0.0000 0.0000 4.1537
N 1.4603 -0.2508 3.1152
N 2.6698 1.4603 1.0384
N 1.4603 3.1714 -1.0384
N 0.2508 1.4603 5.1921
```

Principal peaks in the range 2θ = 10–80°, in order of rising 2θ:
30.55°, intensity 100
43.84°, intensity 8
54.19°, intensity 13
54.36°, intensity 25
63.53°, intensity 10
72.32°, intensity 10